(1)
Diffraction record for LaHo3Er7. The powder XRD pattern is simulated, not measured: it uses a cell relaxed with PBE and a wavelength of 1.5418 Å.
Peak positions follow from Bragg's law for the DFT cell and can differ from measured ones.

Structure:
```
data_LaHo3Er7
_chemical_formula_sum 'La2 Ho6 Er14'
_cell_length_a 5.768
_cell_length_b 11.103
_cell_length_c 11.134
_cell_angle_alpha 90.00
_cell_angle_beta 90.00
_cell_angle_gamma 90.00
_symmetry_space_group_name_H-M 'I m m m'
_symmetry_Int_Tables_number 71
_symmetry_space_group_name_Hall '-I 2 2'
loop_
_atom_site_label
_atom_site_fract_x
_atom_site_fract_y
_atom_site_fract_z
La1 0.000 0.000 0.000
Ho1 0.000 0.000 0.500
Ho2 0.000 0.500 0.206
Er1 0.000 0.211 0.308
Er2 0.000 0.295 0.000
Er3 0.000 0.500 0.500
```

Largest 12 diffraction maxima, sorted by position, 10° ≤ 2θ ≤ 90°:
2θ/deg, I_rel, hkl
23.6, 6, 1 1 2
25.3, 16, 0 3 1
28.6, 11, 1 0 3
31.0, 37, 2 0 0
32.2, 29, 0 4 0
32.9, 100, 1 2 3
40.5, 9, 2 3 1
45.3, 23, 2 4 0
56.4, 22, 3 2 3
62.9, 8, 1 2 7
63.0, 9, 1 7 2
67.9, 8, 2 5 5

***

(2)
Diffraction record for Ba3IrBr2. The powder XRD pattern is simulated, not measured: it uses a cell relaxed with PBE and a wavelength of 1.5418 Å.
Peak positions follow from Bragg's law for the DFT cell and can differ from measured ones.

Structure:
```
data_Ba3IrBr2
_chemical_formula_sum 'Ba48 Ir16 Br32'
_cell_length_a 9.731
_cell_length_b 13.436
_cell_length_c 27.891
_cell_angle_alpha 90.00
_cell_angle_beta 90.00
_cell_angle_gamma 90.00
_symmetry_space_group_name_H-M 'F d d d'
_symmetry_Int_Tables_number 70
loop_
_symmetry_equiv_pos_as_xyz
'x,y,z'
'-x,-y,-z'
'-x+1/4,-y+1/4,z'
'x+1/4,y+1/4,-z'
'x,-y+1/4,-z+1/4'
'-x,y+1/4,z+1/4'
'-x+1/4,y,-z+1/4'
'x+1/4,-y,z+1/4'
'x,y+1/2,z+1/2'
'-x,-y+1/2,-z+1/2'
'-x+1/4,-y+3/4,z+1/2'
'x+1/4,y+3/4,-z+1/2'
'x,-y+3/4,-z+3/4'
'-x,y+3/4,z+3/4'
'-x+1/4,y+1/2,-z+3/4'
'x+1/4,-y+1/2,z+3/4'
'x+1/2,y,z+1/2'
'-x+1/2,-y,-z+1/2'
'-x+3/4,-y+1/4,z+1/2'
'x+3/4,y+1/4,-z+1/2'
'x+1/2,-y+1/4,-z+3/4'
'-x+1/2,y+1/4,z+3/4'
'-x+3/4,y,-z+3/4'
'x+3/4,-y,z+3/4'
'x+1/2,y+1/2,z'
'-x+1/2,-y+1/2,-z'
'-x+3/4,-y+3/4,z'
'x+3/4,y+3/4,-z'
'x+1/2,-y+3/4,-z+1/4'
'-x+1/2,y+3/4,z+1/4'
'-x+3/4,y+1/2,-z+1/4'
'x+3/4,-y+1/2,z+1/4'
loop_
_atom_site_label
_atom_site_fract_x
_atom_site_fract_y
_atom_site_fract_z
Ba1 0.084 0.375 0.375
Ba2 0.109 0.357 0.216
Ir1 0.125 0.125 0.041
Br1 0.125 0.125 0.378
Br2 0.125 0.125 0.547
```

Largest 12 diffraction maxima, sorted by position, 10° ≤ 2θ ≤ 90°:
2θ/deg, I_rel, hkl
11.7, 21, 1 1 1
26.5, 100, 0 4 0
32.6, 5, 3 1 5
37.0, 12, 4 0 0
37.9, 49, 2 4 6
38.7, 11, 0 0 12
46.1, 12, 4 4 0
47.6, 14, 0 4 12
54.6, 10, 0 8 0
61.7, 19, 2 8 6
67.2, 6, 6 4 6
69.6, 6, 2 4 18

***

(3)
Diffraction record for KRbZn. The powder XRD pattern is simulated, not measured: it uses a cell relaxed with PBE and a wavelength of 1.5418 Å.
Peak positions follow from Bragg's law for the DFT cell and can differ from measured ones.

Structure:
```
data_KRbZn
_chemical_formula_sum 'K1 Rb1 Zn1'
_cell_length_a 5.9412
_cell_length_b 5.9412
_cell_length_c 5.3076
_cell_angle_alpha 90.00
_cell_angle_beta 90.00
_cell_angle_gamma 120.00
_symmetry_space_group_name_H-M 'P 3 m 1'
_symmetry_Int_Tables_number 156
_symmetry_space_group_name_Hall 'P 3 -2"'
loop_
_atom_site_label
_atom_site_fract_x
_atom_site_fract_y
_atom_site_fract_z
K1 0.0000 0.0000 0.0000
Rb1 0.6667 0.3333 0.5264
Zn1 0.3333 0.6667 0.1924
```

Largest 12 diffraction maxima, sorted by position, 10° ≤ 2θ ≤ 90°:
2θ/deg, I_rel, hkl
17.2, 8, 1 0 0
24.1, 100, 0 1 1
30.1, 56, 1 1 0
38.2, 24, 1 0 2
38.9, 28, 2 0 1
45.9, 9, 1 1 2
49.3, 11, 0 2 2
49.9, 26, 1 2 1
53.4, 10, 3 0 0
54.9, 7, 0 1 3
58.9, 13, 2 1 2
68.0, 10, 3 1 1

***

(4)
Diffraction record for KSrPb. The powder XRD pattern is simulated, not measured: it uses a cell relaxed with PBE and a wavelength of 1.5418 Å.
Peak positions follow from Bragg's law for the DFT cell and can differ from measured ones.

Structure:
```
data_KSrPb
_chemical_formula_sum 'K2 Sr2 Pb2'
_cell_length_a 4.022
_cell_length_b 5.181
_cell_length_c 11.492
_cell_angle_alpha 90.00
_cell_angle_beta 90.00
_cell_angle_gamma 90.00
_symmetry_space_group_name_H-M 'I m m 2'
_symmetry_Int_Tables_number 44
_symmetry_space_group_name_Hall 'I 2 -2'
loop_
_atom_site_label
_atom_site_fract_x
_atom_site_fract_y
_atom_site_fract_z
K1 0.000 0.000 0.000
Sr1 0.000 0.000 0.299
Pb1 0.000 0.000 0.670
```

Largest 12 diffraction maxima, sorted by position, 10° ≤ 2θ ≤ 90°:
2θ/deg, I_rel, hkl
15.4, 56, 0 0 2
18.8, 33, 0 1 1
23.4, 20, 1 0 1
28.1, 94, 1 1 0
29.0, 79, 0 1 3
32.2, 100, 1 0 3
34.6, 27, 0 2 0
43.1, 15, 0 1 5
48.1, 39, 1 2 3
54.5, 27, 2 1 3
56.1, 19, 1 1 6
58.1, 24, 2 2 0

***

(5)
Diffraction record for Pu2MgCuO8. The powder XRD pattern is simulated, not measured: it uses a cell relaxed with PBE and a wavelength of 1.5418 Å.
Peak positions follow from Bragg's law for the DFT cell and can differ from measured ones.

Structure:
```
data_Pu2MgCuO8
_chemical_formula_sum 'Pu4 Mg2 Cu2 O16'
_cell_length_a 6.590
_cell_length_b 6.590
_cell_length_c 6.894
_cell_angle_alpha 90.00
_cell_angle_beta 90.00
_cell_angle_gamma 90.00
_symmetry_space_group_name_H-M 'C m m m'
_symmetry_Int_Tables_number 65
_symmetry_space_group_name_Hall '-C 2 2'
loop_
_atom_site_label
_atom_site_fract_x
_atom_site_fract_y
_atom_site_fract_z
Pu1 0.000 0.000 0.250
Mg1 0.000 0.500 0.000
Cu1 0.000 0.500 0.500
O1 0.000 0.194 0.000
O2 0.000 0.200 0.500
O3 0.208 0.500 0.246
```

Largest 12 diffraction maxima, sorted by position, 10° ≤ 2θ ≤ 90°:
2θ/deg, I_rel, hkl
19.0, 92, 1 1 0
25.8, 22, 0 0 2
27.1, 95, 0 2 0
32.3, 100, 1 1 2
37.8, 37, 0 2 2
38.6, 24, 2 2 0
43.4, 24, 3 1 0
47.1, 18, 2 2 2
51.2, 71, 1 3 2
55.8, 16, 4 0 0
60.6, 20, 0 2 4
66.0, 20, 3 3 2

***

(6)
Diffraction record for Y3Zr2Sb3. The powder XRD pattern is simulated, not measured: it uses a cell relaxed with PBE and a wavelength of 1.5418 Å.
Peak positions follow from Bragg's law for the DFT cell and can differ from measured ones.

Structure:
```
data_Y3Zr2Sb3
_chemical_formula_sum 'Y6 Zr4 Sb6'
_cell_length_a 8.8119
_cell_length_b 8.8119
_cell_length_c 6.0288
_cell_angle_alpha 90.00
_cell_angle_beta 90.00
_cell_angle_gamma 120.00
_symmetry_space_group_name_H-M 'P 63/m c m'
_symmetry_Int_Tables_number 193
_symmetry_space_group_name_Hall '-P 6c 2'
loop_
_atom_site_label
_atom_site_fract_x
_atom_site_fract_y
_atom_site_fract_z
Y1 0.0000 0.2512 0.2500
Zr1 0.3333 0.6667 0.0000
Sb1 0.0000 0.3932 0.7500
```

Largest 12 diffraction maxima, sorted by position, 10° ≤ 2θ ≤ 90°:
2θ/deg, I_rel, hkl
11.6, 16, 1 0 0
29.6, 23, 0 0 2
31.0, 24, 2 1 0
34.5, 100, 2 1 1
35.3, 54, 3 0 0
36.1, 78, 1 1 2
45.4, 24, 3 1 1
51.4, 16, 2 2 2
55.8, 24, 2 1 3
63.9, 13, 3 1 3
69.0, 17, 5 0 2
73.0, 12, 3 0 4

***

(7)
Diffraction record for La2Tm7Th. The powder XRD pattern is simulated, not measured: it uses a cell relaxed with PBE and a wavelength of 1.5418 Å.
Peak positions follow from Bragg's law for the DFT cell and can differ from measured ones.

Structure:
```
data_La2Tm7Th
_chemical_formula_sum 'La4 Tm14 Th2'
_cell_length_a 6.542
_cell_length_b 28.624
_cell_length_c 3.465
_cell_angle_alpha 90.00
_cell_angle_beta 90.00
_cell_angle_gamma 90.00
_symmetry_space_group_name_H-M 'C m m m'
_symmetry_Int_Tables_number 65
_symmetry_space_group_name_Hall '-C 2 2'
loop_
_atom_site_label
_atom_site_fract_x
_atom_site_fract_y
_atom_site_fract_z
La1 0.000 0.204 0.000
Tm1 0.000 0.000 0.000
Tm2 0.000 0.315 0.500
Tm3 0.243 0.403 0.000
Th1 0.000 0.500 0.500
```

Largest 12 diffraction maxima, sorted by position, 10° ≤ 2θ ≤ 90°:
2θ/deg, I_rel, hkl
29.3, 26, 1 1 1
30.0, 35, 2 4 0
31.3, 39, 0 10 0
31.9, 23, 0 6 1
33.2, 100, 2 6 0
37.8, 12, 2 0 1
39.9, 12, 2 4 1
40.9, 11, 0 10 1
45.8, 11, 1 11 1
52.1, 12, 3 5 1
52.8, 14, 0 0 2
63.9, 14, 2 6 2

***

(8)
Diffraction record for Cd2FeC6N6. The powder XRD pattern is simulated, not measured: it uses a cell relaxed with PBE and a wavelength of 1.5418 Å.
Peak positions follow from Bragg's law for the DFT cell and can differ from measured ones.

Structure:
```
data_Cd2FeC6N6
_chemical_formula_sum 'Cd2 Fe1 C6 N6'
_cell_length_a 6.3826
_cell_length_b 6.3826
_cell_length_c 6.3797
_cell_angle_alpha 90.00
_cell_angle_beta 90.00
_cell_angle_gamma 120.00
_symmetry_space_group_name_H-M 'P -3 1 m'
_symmetry_Int_Tables_number 162
_symmetry_space_group_name_Hall '-P 3 2'
loop_
_atom_site_label
_atom_site_fract_x
_atom_site_fract_y
_atom_site_fract_z
Cd1 0.3333 0.6667 0.0000
Fe1 0.0000 0.0000 0.5000
C1 0.0000 0.2332 0.6765
N1 0.0000 0.3731 0.7988
```

Largest 12 diffraction maxima, sorted by position, 10° ≤ 2θ ≤ 90°:
2θ/deg, I_rel, hkl
13.9, 31, 0 0 1
21.3, 100, 1 0 1
28.0, 43, 1 1 0
31.3, 38, 1 1 1
35.4, 18, 2 0 1
40.0, 56, 1 1 2
45.7, 26, 3 -1 1
49.5, 17, 3 0 0
51.6, 17, 2 -1 3
57.8, 17, 0 0 4
62.3, 19, 4 -1 1
65.4, 20, 4 -2 2

***

(9)
Diffraction record for Tm3Ni2. The powder XRD pattern is simulated, not measured: it uses a cell relaxed with PBE and a wavelength of 1.5418 Å.
Peak positions follow from Bragg's law for the DFT cell and can differ from measured ones.

Structure:
```
data_Tm3Ni2
_chemical_formula_sum 'Tm12 Ni8'
_cell_length_a 10.785
_cell_length_b 3.705
_cell_length_c 10.972
_cell_angle_alpha 90.00
_cell_angle_beta 90.00
_cell_angle_gamma 90.00
_symmetry_space_group_name_H-M 'P n m a'
_symmetry_Int_Tables_number 62
_symmetry_space_group_name_Hall '-P 2ac 2n'
loop_
_atom_site_label
_atom_site_fract_x
_atom_site_fract_y
_atom_site_fract_z
Tm1 0.052 0.250 0.130
Tm2 0.117 0.750 0.566
Tm3 0.218 0.250 0.814
Ni1 0.019 0.750 0.315
Ni2 0.190 0.750 0.002
```

Largest 12 diffraction maxima, sorted by position, 10° ≤ 2θ ≤ 90°:
2θ/deg, I_rel, hkl
26.7, 54, 1 1 1
29.7, 100, 3 0 2
30.4, 65, 2 1 1
33.6, 56, 2 1 2
33.7, 55, 1 0 4
34.2, 39, 4 0 1
34.5, 78, 0 1 3
35.5, 63, 1 1 3
35.8, 49, 3 1 1
38.6, 76, 3 1 2
49.2, 48, 0 2 0
58.5, 30, 3 2 2

***

(10)
Diffraction record for Ce2Al2Ga4Ni. The powder XRD pattern is simulated, not measured: it uses a cell relaxed with PBE and a wavelength of 1.5418 Å.
Peak positions follow from Bragg's law for the DFT cell and can differ from measured ones.

Structure:
```
data_Ce2Al2Ga4Ni
_chemical_formula_sum 'Ce4 Al4 Ga8 Ni2'
_cell_length_a 6.250
_cell_length_b 6.250
_cell_length_c 8.733
_cell_angle_alpha 90.00
_cell_angle_beta 90.00
_cell_angle_gamma 90.00
_symmetry_space_group_name_H-M 'I 4/m m m'
_symmetry_Int_Tables_number 139
_symmetry_space_group_name_Hall '-I 4 2'
loop_
_atom_site_label
_atom_site_fract_x
_atom_site_fract_y
_atom_site_fract_z
Ce1 0.000 0.500 0.250
Al1 0.000 0.000 0.222
Ga1 0.223 0.223 0.000
Ni1 0.000 0.000 0.500
```

Largest 12 diffraction maxima, sorted by position, 10° ≤ 2θ ≤ 90°:
2θ/deg, I_rel, hkl
20.1, 15, 1 1 0
28.7, 53, 1 1 2
35.3, 100, 2 0 2
40.8, 49, 2 2 0
41.4, 25, 0 0 4
50.7, 17, 3 1 2
59.1, 15, 4 0 0
59.5, 31, 2 2 4
67.0, 9, 3 3 2
70.8, 20, 4 2 2
71.5, 11, 2 0 6
74.7, 14, 4 0 4